1.
Diffraction record for Li3Sb3P4O16. The XRD peak list is simulated, not measured: it uses a cell relaxed with PBE and Cu Kα, 1.54184 Å.
Lines closer than 0.1° are merged.

Main lines, sorted by position (10 to 90 degrees two-theta):
- 2θ 14.90, I 100
- 2θ 19.53, I 30
- 2θ 19.90, I 67
- 2θ 20.76, I 59
- 2θ 24.68, I 50
- 2θ 28.03, I 59
- 2θ 30.07, I 49
- 2θ 30.66, I 30
- 2θ 34.16, I 87
- 2θ 35.67, I 27

Atomic structure:
```
Li3Sb3P4O16
1.0
7.867 0.000 0.000
0.000 9.086 0.000
-0.479 0.000 10.506
Li Sb P O
6 6 8 32
Direct
0.123 0.000 0.085
0.149 0.005 0.594
0.350 0.246 0.656
0.650 0.746 0.344
0.851 0.505 0.406
0.877 0.500 0.915
0.232 0.658 0.130
0.235 0.620 0.614
0.374 0.259 0.168
0.626 0.759 0.832
0.765 0.120 0.386
0.768 0.158 0.870
0.042 0.814 0.361
0.047 0.833 0.862
0.464 0.427 0.405
0.466 0.419 0.889
0.534 0.919 0.111
0.536 0.927 0.595
0.953 0.333 0.138
0.958 0.314 0.639
0.000 0.481 0.078
0.000 0.981 0.922
0.006 0.970 0.415
0.107 0.836 0.219
0.108 0.845 0.727
0.110 0.210 0.644
0.113 0.221 0.137
0.188 0.759 0.953
0.196 0.746 0.440
0.324 0.444 0.290
0.336 0.480 0.791
0.370 0.438 0.532
0.371 0.013 0.091
0.375 0.413 0.021
0.397 0.042 0.604
0.476 0.764 0.612
0.483 0.758 0.151
0.517 0.258 0.849
0.524 0.264 0.388
0.603 0.542 0.396
0.625 0.913 0.979
0.629 0.513 0.909
0.630 0.938 0.468
0.664 0.980 0.209
0.676 0.944 0.710
0.804 0.246 0.560
0.812 0.259 0.047
0.887 0.721 0.863
0.890 0.710 0.356
0.892 0.345 0.273
0.893 0.336 0.781
0.994 0.470 0.585
```



2.
Diffraction record for DySi2Ir2. The XRD peak list is simulated, not measured: it uses a cell relaxed with PBE and Cu Kα, 1.54184 Å.
Lines closer than 0.1° are merged.

Main lines, sorted by position (10 to 90 degrees two-theta):
- 2θ 27.10, I 29
- 2θ 28.18, I 27
- 2θ 31.97, I 68
- 2θ 34.87, I 64
- 2θ 35.74, I 100
- 2θ 43.86, I 66
- 2θ 51.30, I 26
- 2θ 57.22, I 31
- 2θ 63.77, I 22
- 2θ 75.30, I 23

Atomic structure:
```
DySi2Ir2
1.0
4.128 0.000 0.000
0.000 4.128 0.000
0.000 0.000 9.871
Dy Si Ir
2 4 4
Direct
0.250 0.250 0.245
0.750 0.750 0.755
0.250 0.250 0.631
0.250 0.750 0.000
0.750 0.250 0.000
0.750 0.750 0.369
0.250 0.250 0.871
0.250 0.750 0.500
0.750 0.250 0.500
0.750 0.750 0.129
```



3.
Diffraction record for PaAl3. The XRD peak list is simulated, not measured: it uses a cell relaxed with PBE and Cu Kα, 1.54184 Å.
Lines closer than 0.1° are merged.

Main lines, sorted by position (10 to 90 degrees two-theta):
- 2θ 16.26, I 33
- 2θ 25.40, I 100
- 2θ 28.36, I 49
- 2θ 32.86, I 19
- 2θ 38.43, I 75
- 2θ 39.33, I 16
- 2θ 48.45, I 31
- 2θ 49.20, I 23
- 2θ 64.96, I 17
- 2θ 72.94, I 15

Atomic structure:
```
PaAl3
1.0
6.294 0.000 0.000
-3.147 5.451 0.000
0.000 0.000 4.581
Pa Al
2 6
Direct
0.333 0.667 0.250
0.667 0.333 0.750
0.148 0.297 0.750
0.148 0.852 0.750
0.297 0.148 0.250
0.703 0.852 0.750
0.852 0.148 0.250
0.852 0.703 0.250
```



4.
Diffraction record for ErOs2. The XRD peak list is simulated, not measured: it uses a cell relaxed with PBE and Cu Kα, 1.54184 Å.
Lines closer than 0.1° are merged.

Main lines, sorted by position (10 to 90 degrees two-theta):
- 2θ 33.69, I 24
- 2θ 36.39, I 71
- 2θ 39.62, I 100
- 2θ 40.48, I 95
- 2θ 41.16, I 22
- 2θ 44.42, I 26
- 2θ 62.03, I 25
- 2θ 64.26, I 25
- 2θ 67.05, I 33
- 2θ 70.85, I 30

Atomic structure:
```
ErOs2
1.0
5.320 0.000 0.000
-2.660 4.608 0.000
0.000 0.000 8.772
Er Os
4 8
Direct
0.333 0.667 0.066
0.333 0.667 0.434
0.667 0.333 0.566
0.667 0.333 0.934
0.000 0.000 0.000
0.000 0.000 0.500
0.173 0.346 0.750
0.173 0.827 0.750
0.346 0.173 0.250
0.654 0.827 0.750
0.827 0.173 0.250
0.827 0.654 0.250
```



5.
Diffraction record for Nd15Si7Ni2. The XRD peak list is simulated, not measured: it uses a cell relaxed with PBE and Cu Kα, 1.54184 Å.
Lines closer than 0.1° are merged.

Main lines, sorted by position (10 to 90 degrees two-theta):
- 2θ 26.26, I 65
- 2θ 26.60, I 29
- 2θ 32.03, I 90
- 2θ 32.31, I 100
- 2θ 34.58, I 79
- 2θ 36.37, I 36
- 2θ 36.75, I 36
- 2θ 38.78, I 25
- 2θ 52.21, I 24
- 2θ 52.57, I 29

Atomic structure:
```
Nd15Si7Ni2
1.0
0.000 20.897 5.542
5.450 0.000 5.542
5.450 20.897 0.000
Nd Si Ni
30 14 4
Direct
0.015 0.828 0.652
0.049 0.951 0.049
0.068 0.638 0.362
0.119 0.229 0.115
0.132 0.216 0.438
0.174 0.676 0.826
0.216 0.132 0.214
0.229 0.119 0.537
0.286 0.718 0.282
0.301 0.399 0.601
0.348 0.496 0.985
0.387 0.621 0.379
0.399 0.301 0.699
0.461 0.887 0.446
0.463 0.885 0.771
0.496 0.348 0.172
0.554 0.795 0.539
0.562 0.786 0.868
0.621 0.387 0.613
0.638 0.068 0.932
0.676 0.174 0.324
0.718 0.286 0.714
0.732 0.967 0.033
0.786 0.562 0.784
0.795 0.554 0.113
0.828 0.015 0.504
0.885 0.463 0.881
0.887 0.461 0.205
0.951 0.049 0.951
0.967 0.732 0.268
0.060 0.289 0.940
0.093 0.758 0.741
0.225 0.893 0.107
0.259 0.592 0.907
0.289 0.060 0.711
0.396 0.959 0.270
0.427 0.427 0.073
0.592 0.259 0.242
0.626 0.730 0.041
0.730 0.626 0.604
0.758 0.093 0.408
0.893 0.225 0.775
0.927 0.927 0.573
0.959 0.396 0.374
0.117 0.450 0.550
0.450 0.117 0.883
0.554 0.554 0.446
0.795 0.795 0.205
```



6.
Diffraction record for SiO2. The XRD peak list is simulated, not measured: it uses a cell relaxed with PBE and Cu Kα, 1.54184 Å.
Lines closer than 0.1° are merged.

Main lines, sorted by position (10 to 90 degrees two-theta):
- 2θ 21.29, I 100
- 2θ 24.63, I 53
- 2θ 32.78, I 27
- 2θ 43.36, I 19
- 2θ 45.23, I 9
- 2θ 50.50, I 6
- 2θ 55.40, I 6
- 2θ 63.00, I 10
- 2θ 67.31, I 10
- 2θ 78.24, I 8

Atomic structure:
```
SiO2
1.0
-5.111 5.111 5.111
5.111 -5.111 5.111
5.111 5.111 -5.111
Si O
12 24
Direct
0.125 0.750 0.875
0.125 0.875 0.250
0.250 0.125 0.875
0.250 0.625 0.375
0.375 0.250 0.625
0.375 0.625 0.750
0.625 0.375 0.250
0.625 0.750 0.375
0.750 0.375 0.625
0.750 0.875 0.125
0.875 0.125 0.750
0.875 0.250 0.125
0.093 0.185 0.843
0.093 0.407 0.250
0.157 0.750 0.343
0.157 0.907 0.815
0.185 0.843 0.093
0.250 0.093 0.407
0.250 0.657 0.843
0.315 0.407 0.657
0.343 0.157 0.750
0.343 0.685 0.593
0.407 0.250 0.093
0.407 0.657 0.315
0.593 0.343 0.685
0.593 0.750 0.907
0.657 0.315 0.407
0.657 0.843 0.250
0.685 0.593 0.343
0.750 0.343 0.157
0.750 0.907 0.593
0.815 0.157 0.907
0.843 0.093 0.185
0.843 0.250 0.657
0.907 0.593 0.750
0.907 0.815 0.157
```



7.
Diffraction record for Ti2P2H4O11. The XRD peak list is simulated, not measured: it uses a cell relaxed with PBE and Cu Kα, 1.54184 Å.
Lines closer than 0.1° are merged.

Main lines, sorted by position (10 to 90 degrees two-theta):
- 2θ 10.35, I 66
- 2θ 11.90, I 100
- 2θ 17.20, I 27
- 2θ 19.18, I 26
- 2θ 20.78, I 83
- 2θ 23.43, I 44
- 2θ 24.94, I 81
- 2θ 30.13, I 38
- 2θ 30.29, I 62
- 2θ 31.40, I 42

Atomic structure:
```
Ti2P2H4O11
1.0
5.178 0.000 0.000
0.663 8.901 0.000
0.724 2.724 9.388
Ti P H O
4 4 8 22
Direct
0.046 0.383 0.296
0.261 0.771 0.164
0.739 0.229 0.836
0.954 0.617 0.704
0.220 0.170 0.069
0.256 0.319 0.617
0.744 0.681 0.383
0.780 0.830 0.931
0.177 0.825 0.475
0.235 0.641 0.925
0.393 0.792 0.581
0.397 0.514 0.857
0.603 0.486 0.143
0.607 0.208 0.419
0.765 0.359 0.075
0.823 0.175 0.525
0.045 0.218 0.711
0.049 0.799 0.996
0.203 0.492 0.617
0.204 0.813 0.575
0.205 0.236 0.199
0.229 0.546 0.206
0.238 0.582 0.854
0.253 0.305 0.463
0.291 0.994 0.119
0.429 0.254 0.959
0.474 0.740 0.328
0.526 0.260 0.672
0.571 0.746 0.041
0.709 0.006 0.881
0.747 0.695 0.537
0.762 0.418 0.146
0.771 0.454 0.794
0.795 0.764 0.801
0.796 0.187 0.425
0.797 0.508 0.383
0.951 0.201 0.004
0.955 0.782 0.289
```



8.
Diffraction record for TbPd2. The XRD peak list is simulated, not measured: it uses a cell relaxed with PBE and Cu Kα, 1.54184 Å.
Lines closer than 0.1° are merged.

Main lines, sorted by position (10 to 90 degrees two-theta):
- 2θ 24.78, I 56
- 2θ 38.49, I 100
- 2θ 39.14, I 17
- 2θ 42.67, I 19
- 2θ 45.75, I 31
- 2θ 52.72, I 14
- 2θ 64.33, I 22
- 2θ 75.32, I 14
- 2θ 79.72, I 24
- 2θ 82.47, I 11

Atomic structure:
```
TbPd2
1.0
3.967 0.000 0.000
0.000 3.967 0.000
0.000 0.000 8.476
Tb Pd
2 4
Direct
0.000 0.000 0.000
0.500 0.500 0.500
0.000 0.500 0.250
0.000 0.500 0.750
0.500 0.000 0.250
0.500 0.000 0.750
```